Theoretical powder diffraction line list of HfTi2Tl2Te6 for Cu Kα (λ = 1.5418 Å), from DFT lattice parameters and positions (PBE).
Kinematic intensities with the Lorentz-polarization factor, no thermal factor.

Crystal structure
```
data_HfTi2Tl2Te6
_cell_length_a 6.891
_cell_length_b 12.051
_cell_length_c 8.735
_cell_angle_alpha 90.00
_cell_angle_beta 105.52
_cell_angle_gamma 90.00
_symmetry_space_group_name_H-M 'C 1 2/m 1'
_symmetry_Int_Tables_number 12
loop_
_symmetry_equiv_pos_as_xyz
'x,y,z'
'-x,-y,-z'
'-x,y,-z'
'x,-y,z'
'x+1/2,y+1/2,z'
'-x+1/2,-y+1/2,-z'
'-x+1/2,y+1/2,-z'
'x+1/2,-y+1/2,z'
loop_
_atom_site_label
_atom_site_fract_x
_atom_site_fract_y
_atom_site_fract_z
_atom_site_occupancy
Hf1 0.000 0.000 0.000 1
Ti1 0.000 0.324 0.000 1
Tl1 0.000 0.158 0.500 1
Te1 0.219 0.500 0.193 1
Te2 0.240 0.167 0.203 1
```

Peak list (10 most intense, 2θ from 5° to 70°, by intensity)
- d = 3.035 Å, I 100, hkl 2 0 -2
- d = 2.338 Å, I 24, hkl 1 3 -3
- d = 1.994 Å, I 22, hkl 3 3 -1
- d = 5.815 Å, I 17, hkl 1 1 0
- d = 2.322 Å, I 12, hkl 2 0 2
- d = 1.674 Å, I 11, hkl 2 6 -2
- d = 2.008 Å, I 11, hkl 0 6 0
- d = 4.899 Å, I 10, hkl 0 2 1
- d = 2.838 Å, I 10, hkl 2 0 1
- d = 3.867 Å, I 8, hkl 1 1 -2